The following is a calculated XRD peak list of Rb2SnBiAu. It was derived from a crystal structure in Alexandria, relaxed with PBE, using Cu Kα X-rays.
Peak positions follow from Bragg's law for the DFT cell and can differ from measured ones.

Top 10 peaks for 2θ from 10° to 90°, most intense first:
two_theta, I (rel.)
24.71, 100
23.61, 95
40.83, 56
17.41, 55
42.85, 43
35.23, 41
48.31, 35
31.99, 32
67.02, 27
57.17, 20

Atomic structure:
Cell lengths 7.206, 7.206, 5.598 Å; angles 90.00, 90.00, 90.00 degrees
Atoms (fractional coordinates):
Rb  0.000  0.500  0.000
Rb  0.500  0.000  0.000
Sn  0.000  0.000  0.000
Bi  0.000  0.000  0.500
Au  0.500  0.500  0.500